# 1
Tl2BrF: simulated PXRD pattern (CuKα), based on a structure optimized by DFT (GGA-PBE).
Peak positions follow from Bragg's law for the DFT cell and can differ from measured ones.

Structural model:
abc: 4.3558 4.3558 21.6052
angles: 90.00 90.00 120.00
Element x y z (fractional)
Tl 0.0000 0.0000 0.2331
Tl 0.0000 0.0000 0.7669
Tl 0.3333 0.6667 0.4336
Tl 0.3333 0.6667 0.8997
Tl 0.6667 0.3333 0.1003
Tl 0.6667 0.3333 0.5664
Br 0.0000 0.0000 0.0000
Br 0.3333 0.6667 0.6667
Br 0.6667 0.3333 0.3333
F 0.0000 0.0000 0.5000
F 0.3333 0.6667 0.1667
F 0.6667 0.3333 0.8333

Most intense lines, 10° ≤ 2θ ≤ 90°, low angle first:
- 25.00°, d = 3.561 Å, intensity 53.2
- 28.87°, d = 3.093 Å, intensity 100.0
- 31.48°, d = 2.842 Å, intensity 25.7
- 37.46°, d = 2.401 Å, intensity 11.7
- 41.11°, d = 2.196 Å, intensity 23.7
- 41.46°, d = 2.178 Å, intensity 43.7
- 51.31°, d = 1.781 Å, intensity 20.3
- 57.10°, d = 1.613 Å, intensity 21.1
- 60.91°, d = 1.521 Å, intensity 11.9
- 68.00°, d = 1.379 Å, intensity 17.4

# 2
Tl5Br4F: simulated PXRD pattern (CuKα), based on a structure optimized by DFT (GGA-PBE).
Peak positions follow from Bragg's law for the DFT cell and can differ from measured ones.

Structural model:
abc: 16.5764 16.5764 16.5764
angles: 163.66 163.66 23.19
Element x y z (fractional)
Tl 0.0000 0.0000 0.0000
Tl 0.2010 0.2010 0.0000
Tl 0.4154 0.4154 0.0000
Tl 0.5846 0.5846 0.0000
Tl 0.7990 0.7990 0.0000
Br 0.0980 0.0980 0.0000
Br 0.3065 0.3065 0.0000
Br 0.6935 0.6935 0.0000
Br 0.9020 0.9020 0.0000
F 0.5000 0.5000 0.0000

Most intense lines, 10° ≤ 2θ ≤ 90°, low angle first:
- 23.32°, d = 3.814 Å, intensity 54.7
- 26.76°, d = 3.332 Å, intensity 100.0
- 27.46°, d = 3.248 Å, intensity 34.7
- 38.20°, d = 2.356 Å, intensity 39.2
- 38.72°, d = 2.326 Å, intensity 55.9
- 45.24°, d = 2.004 Å, intensity 20.5
- 47.70°, d = 1.907 Å, intensity 34.2
- 62.32°, d = 1.490 Å, intensity 18.8
- 62.68°, d = 1.482 Å, intensity 13.7
- 69.41°, d = 1.354 Å, intensity 22.8

# 3
Tl4Br3F: simulated PXRD pattern (CuKα), based on a structure optimized by DFT (GGA-PBE).
Peak positions follow from Bragg's law for the DFT cell and can differ from measured ones.

Structural model:
abc: 13.0315 6.7283 6.7340
angles: 90.00 90.00 90.00
Element x y z (fractional)
Tl 0.0000 0.1858 0.0000
Tl 0.0000 0.7464 0.4351
Tl 0.2251 0.7494 0.0008
Tl 0.2749 0.2506 0.5008
Tl 0.5000 0.2536 0.9351
Tl 0.5000 0.8142 0.5000
Tl 0.7251 0.2506 0.5008
Tl 0.7749 0.7494 0.0008
Br 0.0000 0.2348 0.4944
Br 0.2503 0.2491 0.0042
Br 0.2497 0.7509 0.5042
Br 0.5000 0.7652 0.9944
Br 0.7497 0.2491 0.0042
Br 0.7503 0.7509 0.5042
F 0.0000 0.8144 0.0640
F 0.5000 0.1856 0.5640

Most intense lines, 10° ≤ 2θ ≤ 90°, low angle first:
- 23.14°, d = 3.843 Å, intensity 64.7
- 26.48°, d = 3.366 Å, intensity 100.0
- 27.38°, d = 3.258 Å, intensity 47.3
- 36.31°, d = 2.474 Å, intensity 17.4
- 37.80°, d = 2.380 Å, intensity 34.5
- 38.46°, d = 2.341 Å, intensity 65.9
- 44.79°, d = 2.023 Å, intensity 17.1
- 47.30°, d = 1.922 Å, intensity 31.0
- 63.44°, d = 1.466 Å, intensity 14.9
- 68.70°, d = 1.366 Å, intensity 13.8

# 4
TlBrF2: simulated PXRD pattern (CuKα), based on a structure optimized by DFT (GGA-PBE).
Peak positions follow from Bragg's law for the DFT cell and can differ from measured ones.

Structural model:
abc: 5.8261 5.6961 11.3605
angles: 90.00 90.00 90.00
Element x y z (fractional)
Tl 0.2500 0.0000 0.0916
Tl 0.2500 0.5000 0.4084
Tl 0.7500 0.0000 0.9084
Tl 0.7500 0.5000 0.5916
Br 0.0000 0.2500 0.2500
Br 0.0000 0.7500 0.7500
Br 0.5000 0.2500 0.7500
Br 0.5000 0.7500 0.2500
F 0.0714 0.2020 0.9470
F 0.0714 0.2980 0.5530
F 0.4286 0.7020 0.5530
F 0.4286 0.7980 0.9470
F 0.5714 0.2020 0.0530
F 0.5714 0.2980 0.4470
F 0.9286 0.7020 0.4470
F 0.9286 0.7980 0.0530

Most intense lines, 10° ≤ 2θ ≤ 90°, low angle first:
- 17.10°, d = 5.184 Å, intensity 33.9
- 17.42°, d = 5.092 Å, intensity 100.0
- 23.20°, d = 3.834 Å, intensity 16.5
- 26.94°, d = 3.310 Å, intensity 70.7
- 28.10°, d = 3.175 Å, intensity 32.9
- 32.28°, d = 2.773 Å, intensity 17.5
- 35.50°, d = 2.529 Å, intensity 28.0
- 38.65°, d = 2.330 Å, intensity 18.0
- 42.65°, d = 2.120 Å, intensity 29.0
- 44.51°, d = 2.035 Å, intensity 40.2

# 5
Tl8BrF6: simulated PXRD pattern (CuKα), based on a structure optimized by DFT (GGA-PBE).
Peak positions follow from Bragg's law for the DFT cell and can differ from measured ones.

Structural model:
abc: 9.2054 9.2054 9.2054
angles: 60.00 60.00 60.00
Element x y z (fractional)
Tl 0.1513 0.1513 0.1513
Tl 0.1513 0.1513 0.5461
Tl 0.1513 0.5461 0.1513
Tl 0.4539 0.8487 0.8487
Tl 0.5461 0.1513 0.1513
Tl 0.8487 0.4539 0.8487
Tl 0.8487 0.8487 0.4539
Tl 0.8487 0.8487 0.8487
Br 0.0000 0.0000 0.0000
F 0.0000 0.0000 0.5000
F 0.0000 0.5000 0.0000
F 0.0000 0.5000 0.5000
F 0.5000 0.0000 0.0000
F 0.5000 0.0000 0.5000
F 0.5000 0.5000 0.0000

Most intense lines, 10° ≤ 2θ ≤ 90°, low angle first:
- 11.77°, d = 7.516 Å, intensity 52.3
- 13.60°, d = 6.509 Å, intensity 41.0
- 22.65°, d = 3.925 Å, intensity 42.5
- 27.40°, d = 3.255 Å, intensity 39.4
- 29.92°, d = 2.987 Å, intensity 100.0
- 35.84°, d = 2.505 Å, intensity 42.4
- 39.14°, d = 2.301 Å, intensity 39.9
- 41.62°, d = 2.170 Å, intensity 26.3
- 50.56°, d = 1.805 Å, intensity 27.8
- 57.99°, d = 1.590 Å, intensity 38.1

# 6
Tl3Br7F: simulated PXRD pattern (CuKα), based on a structure optimized by DFT (GGA-PBE).
Peak positions follow from Bragg's law for the DFT cell and can differ from measured ones.

Structural model:
abc: 8.1587 8.1587 9.9906
angles: 126.90 126.90 58.88
Element x y z (fractional)
Tl 0.0000 0.0000 0.0000
Tl 0.4939 0.9813 0.5101
Tl 0.9813 0.4939 0.5101
Br 0.0397 0.0397 0.3495
Br 0.0569 0.5351 0.8316
Br 0.4220 0.4220 0.6442
Br 0.4785 0.9271 0.2070
Br 0.5351 0.0569 0.8316
Br 0.5467 0.5467 0.3659
Br 0.9271 0.4785 0.2070
F 0.8709 0.8709 0.6427

Most intense lines, 10° ≤ 2θ ≤ 90°, low angle first:
- 12.46°, d = 7.102 Å, intensity 100.0
- 22.22°, d = 4.001 Å, intensity 13.5
- 28.01°, d = 3.186 Å, intensity 33.3
- 28.21°, d = 3.163 Å, intensity 72.6
- 35.72°, d = 2.514 Å, intensity 34.0
- 35.97°, d = 2.497 Å, intensity 17.6
- 36.26°, d = 2.477 Å, intensity 15.6
- 43.79°, d = 2.067 Å, intensity 24.1
- 45.18°, d = 2.007 Å, intensity 22.5
- 46.60°, d = 1.949 Å, intensity 19.3

# 7
Tl6BrF5: simulated PXRD pattern (CuKα), based on a structure optimized by DFT (GGA-PBE).
Peak positions follow from Bragg's law for the DFT cell and can differ from measured ones.

Structural model:
abc: 7.2987 7.2987 7.3576
angles: 99.79 99.79 122.35
Element x y z (fractional)
Tl 0.0270 0.3950 0.2473
Tl 0.2399 0.2399 0.7969
Tl 0.3950 0.0270 0.2473
Tl 0.6050 0.9730 0.7527
Tl 0.7601 0.7601 0.2031
Tl 0.9730 0.6050 0.7527
Br 0.5000 0.5000 0.5000
F 0.0000 0.0000 0.0000
F 0.2044 0.7956 0.5000
F 0.3622 0.6378 0.0000
F 0.6378 0.3622 0.0000
F 0.7956 0.2044 0.5000

Most intense lines, 10° ≤ 2θ ≤ 90°, low angle first:
- 25.76°, d = 3.458 Å, intensity 55.2
- 25.88°, d = 3.442 Å, intensity 27.5
- 27.08°, d = 3.293 Å, intensity 23.1
- 30.26°, d = 2.953 Å, intensity 100.0
- 42.41°, d = 2.131 Å, intensity 11.4
- 42.53°, d = 2.126 Å, intensity 21.8
- 44.08°, d = 2.054 Å, intensity 17.9
- 44.27°, d = 2.046 Å, intensity 11.3
- 50.37°, d = 1.812 Å, intensity 11.1
- 51.04°, d = 1.789 Å, intensity 10.9

# 8
Tl5BrF4: simulated PXRD pattern (CuKα), based on a structure optimized by DFT (GGA-PBE).
Peak positions follow from Bragg's law for the DFT cell and can differ from measured ones.

Structural model:
abc: 7.0012 7.0012 10.8185
angles: 115.19 115.19 33.35
Element x y z (fractional)
Tl 0.0000 0.0000 0.0000
Tl 0.1856 0.1856 0.8128
Tl 0.3698 0.3698 0.6364
Tl 0.6302 0.6302 0.3636
Tl 0.8144 0.8144 0.1872
Br 0.0000 0.0000 0.5000
F 0.1954 0.1954 0.2411
F 0.4470 0.4470 0.1507
F 0.5530 0.5530 0.8493
F 0.8046 0.8046 0.7589

Most intense lines, 10° ≤ 2θ ≤ 90°, low angle first:
- 24.82°, d = 3.587 Å, intensity 30.6
- 26.31°, d = 3.387 Å, intensity 100.0
- 26.88°, d = 3.316 Å, intensity 26.5
- 27.10°, d = 3.291 Å, intensity 26.3
- 28.34°, d = 3.150 Å, intensity 74.1
- 31.12°, d = 2.874 Å, intensity 78.9
- 34.91°, d = 2.570 Å, intensity 24.4
- 41.24°, d = 2.189 Å, intensity 31.6
- 43.90°, d = 2.062 Å, intensity 30.5
- 54.15°, d = 1.694 Å, intensity 24.7

# 9
UTl2Br5F: simulated PXRD pattern (CuKα), based on a structure optimized by DFT (GGA-PBE).
Peak positions follow from Bragg's law for the DFT cell and can differ from measured ones.

Structural model:
abc: 7.9128 7.9128 7.9128
angles: 119.48 119.48 90.91
Element x y z (fractional)
U 0.0000 0.0000 0.0000
Tl 0.1730 0.6730 0.5000
Tl 0.6730 0.1730 0.5000
Br 0.2483 0.2483 0.0000
Br 0.2588 0.2588 0.5016
Br 0.2588 0.7572 0.0000
Br 0.7572 0.2588 0.0000
Br 0.7572 0.7572 0.4984
F 0.8153 0.8153 0.0000

Most intense lines, 10° ≤ 2θ ≤ 90°, low angle first:
- 13.67°, d = 6.477 Å, intensity 74.8
- 15.97°, d = 5.551 Å, intensity 40.3
- 22.48°, d = 3.956 Å, intensity 100.0
- 26.24°, d = 3.396 Å, intensity 34.3
- 27.54°, d = 3.239 Å, intensity 66.2
- 31.73°, d = 2.820 Å, intensity 98.5
- 36.07°, d = 2.490 Å, intensity 44.3
- 39.24°, d = 2.296 Å, intensity 49.0
- 45.49°, d = 1.994 Å, intensity 36.3
- 48.79°, d = 1.866 Å, intensity 38.0

# 10
ZrTl2Br2F4: simulated PXRD pattern (CuKα), based on a structure optimized by DFT (GGA-PBE).
Peak positions follow from Bragg's law for the DFT cell and can differ from measured ones.

Structural model:
abc: 7.4023 7.4023 5.4629
angles: 92.84 92.84 50.17
Element x y z (fractional)
Zr 0.0000 0.0000 0.0000
Tl 0.3657 0.3657 0.3865
Tl 0.6343 0.6343 0.6135
Br 0.1879 0.1879 0.8367
Br 0.8121 0.8121 0.1633
F 0.1938 0.7273 0.7576
F 0.2727 0.8062 0.2424
F 0.7273 0.1938 0.7576
F 0.8062 0.2727 0.2424

Most intense lines, 10° ≤ 2θ ≤ 90°, low angle first:
- 21.57°, d = 4.120 Å, intensity 53.8
- 22.33°, d = 3.982 Å, intensity 100.0
- 22.86°, d = 3.890 Å, intensity 43.0
- 24.47°, d = 3.637 Å, intensity 38.9
- 28.44°, d = 3.138 Å, intensity 59.7
- 30.13°, d = 2.966 Å, intensity 60.3
- 30.56°, d = 2.925 Å, intensity 64.9
- 35.98°, d = 2.496 Å, intensity 40.8
- 36.21°, d = 2.481 Å, intensity 36.9
- 42.26°, d = 2.139 Å, intensity 51.3

# 11
U2Br4F5: simulated PXRD pattern (CuKα), based on a structure optimized by DFT (GGA-PBE).
Peak positions follow from Bragg's law for the DFT cell and can differ from measured ones.

Structural model:
abc: 6.3624 4.5265 10.3791
angles: 90.00 93.46 90.00
Element x y z (fractional)
U 0.0559 0.0000 0.2224
U 0.9441 0.0000 0.7776
Br 0.2072 0.5000 0.8560
Br 0.2482 0.5000 0.3624
Br 0.7518 0.5000 0.6376
Br 0.7928 0.5000 0.1440
F 0.0000 0.0000 0.0000
F 0.1540 0.0000 0.6386
F 0.3457 0.0000 0.1506
F 0.6543 0.0000 0.8494
F 0.8460 0.0000 0.3614

Most intense lines, 10° ≤ 2θ ≤ 90°, low angle first:
- 13.94°, d = 6.351 Å, intensity 100.0
- 17.12°, d = 5.180 Å, intensity 63.0
- 21.47°, d = 4.139 Å, intensity 57.0
- 24.14°, d = 3.686 Å, intensity 37.5
- 26.14°, d = 3.409 Å, intensity 25.0
- 30.25°, d = 2.955 Å, intensity 87.0
- 34.50°, d = 2.600 Å, intensity 39.5
- 39.83°, d = 2.263 Å, intensity 24.9
- 40.11°, d = 2.248 Å, intensity 23.0
- 42.43°, d = 2.130 Å, intensity 21.5

# 12
UBr4F: simulated PXRD pattern (CuKα), based on a structure optimized by DFT (GGA-PBE).
Peak positions follow from Bragg's law for the DFT cell and can differ from measured ones.

Structural model:
abc: 10.3604 10.3604 4.5085
angles: 90.00 90.00 90.00
Element x y z (fractional)
U 0.0000 0.0000 0.0000
U 0.5000 0.5000 0.5000
Br 0.0638 0.2475 0.0000
Br 0.2475 0.9362 0.0000
Br 0.2525 0.5638 0.5000
Br 0.4362 0.2525 0.5000
Br 0.5638 0.7475 0.5000
Br 0.7475 0.4362 0.5000
Br 0.7525 0.0638 0.0000
Br 0.9362 0.7525 0.0000
F 0.0000 0.0000 0.5000
F 0.5000 0.5000 0.0000

Most intense lines, 10° ≤ 2θ ≤ 90°, low angle first:
- 12.08°, d = 7.326 Å, intensity 88.0
- 17.12°, d = 5.180 Å, intensity 24.6
- 21.49°, d = 4.134 Å, intensity 100.0
- 27.22°, d = 3.276 Å, intensity 45.9
- 32.66°, d = 2.742 Å, intensity 18.1
- 34.63°, d = 2.590 Å, intensity 19.1
- 38.87°, d = 2.317 Å, intensity 22.7
- 41.13°, d = 2.195 Å, intensity 45.3
- 48.34°, d = 1.883 Å, intensity 19.7
- 49.05°, d = 1.857 Å, intensity 18.1

# 13
FeBr3: simulated PXRD pattern (CuKα), based on a structure optimized by DFT (GGA-PBE).
Peak positions follow from Bragg's law for the DFT cell and can differ from measured ones.

Structural model:
abc: 7.3470 7.3470 9.6847
angles: 90.00 90.00 90.00
Element x y z (fractional)
Fe 0.0000 0.0000 0.0000
Fe 0.0000 0.5000 0.2500
Fe 0.5000 0.0000 0.7500
Fe 0.5000 0.5000 0.5000
Br 0.0000 0.0000 0.5000
Br 0.0000 0.5000 0.7500
Br 0.1385 0.2500 0.1250
Br 0.2500 0.6385 0.3750
Br 0.2500 0.8615 0.8750
Br 0.3615 0.2500 0.6250
Br 0.5000 0.0000 0.2500
Br 0.5000 0.5000 0.0000
Br 0.6385 0.7500 0.6250
Br 0.7500 0.1385 0.8750
Br 0.7500 0.3615 0.3750
Br 0.8615 0.7500 0.1250

Most intense lines, 10° ≤ 2θ ≤ 90°, low angle first:
- 15.14°, d = 5.853 Å, intensity 13.0
- 25.14°, d = 3.542 Å, intensity 100.0
- 28.69°, d = 3.111 Å, intensity 44.7
- 34.53°, d = 2.598 Å, intensity 17.2
- 39.12°, d = 2.303 Å, intensity 13.3
- 43.19°, d = 2.095 Å, intensity 25.6
- 44.83°, d = 2.022 Å, intensity 31.7
- 45.49°, d = 1.994 Å, intensity 10.3
- 53.15°, d = 1.723 Å, intensity 9.7
- 55.97°, d = 1.643 Å, intensity 11.9

# 14
FeBr4: simulated PXRD pattern (CuKα), based on a structure optimized by DFT (GGA-PBE).
Peak positions follow from Bragg's law for the DFT cell and can differ from measured ones.

Structural model:
abc: 5.8805 5.8805 10.7851
angles: 90.00 90.00 90.00
Element x y z (fractional)
Fe 0.0000 0.0000 0.0000
Fe 0.5000 0.5000 0.5000
Br 0.2227 0.2227 0.8756
Br 0.2227 0.7773 0.1244
Br 0.2773 0.2773 0.3756
Br 0.2773 0.7227 0.6244
Br 0.7227 0.2773 0.6244
Br 0.7227 0.7227 0.3756
Br 0.7773 0.2227 0.1244
Br 0.7773 0.7773 0.8756

Most intense lines, 10° ≤ 2θ ≤ 90°, low angle first:
- 17.17°, d = 5.163 Å, intensity 28.7
- 27.08°, d = 3.293 Å, intensity 100.0
- 30.40°, d = 2.940 Å, intensity 21.8
- 33.23°, d = 2.696 Å, intensity 9.9
- 42.59°, d = 2.123 Å, intensity 8.2
- 43.53°, d = 2.079 Å, intensity 15.6
- 45.65°, d = 1.987 Å, intensity 29.9
- 52.02°, d = 1.758 Å, intensity 24.6
- 55.71°, d = 1.650 Å, intensity 12.7
- 73.24°, d = 1.292 Å, intensity 8.8